For BaLiInAu3, a structure optimized by DFT (GGA-PBE) gives the computed powder X-ray diffraction pattern in this record (Cu Kα (weighted mean of Kα1 and Kα2)).

Structure:
a b c (Å): 6.308 12.435 7.491
angles (deg): 90.00 90.00 90.00
Space group Cmcm (No. 63)
Inequivalent atoms, fractional coordinates:
Ba: 0.000 0.194 0.250 x4
Li: 0.000 0.445 0.250 x4
In: 0.000 0.119 0.750 x4
Au: 0.000 0.344 0.750 x4
Au: 0.244 0.500 0.000 x8

Peak list (10 most intense, 2θ = 5–70°, low angle first)
| 2theta | d_spacing | intensity | index |
| --- | --- | --- | --- |
| 14.25 | 6.217 | 37 | 0 2 0 |
| 27.81 | 3.208 | 93 | 0 2 2 |
| 28.38 | 3.144 | 22 | 1 3 1 |
| 31.81 | 2.813 | 66 | 2 2 0 |
| 37.27 | 2.413 | 100 | 2 0 2 |
| 37.60 | 2.392 | 54 | 0 4 2 |
| 40.77 | 2.213 | 56 | 2 4 0 |
| 48.62 | 1.873 | 24 | 0 0 4 |
| 58.74 | 1.572 | 33 | 2 6 2 |
| 59.28 | 1.559 | 23 | 2 2 4 |